# 1
Computed X-ray diffraction stick pattern of VFe3Co2P6O24 for a wavelength of 1.5418 Å, from the GGA+U geometry in the Materials Project.
No peak broadening, texture or thermal motion is included.

Cell and atoms:
Cell: 8.6255 8.6255 20.4321 Å, 90.00 90.00 120.00°
Space group R3 (No. 146, hexagonal axes)
One atom of each set of equivalent atoms:
V1 0.0000 0.0000 0.0000 [3 per cell]
Fe1 0.0000 0.0000 0.2882 [3 per cell]
Fe2 0.0000 0.0000 0.4992 [3 per cell]
Fe3 0.0000 0.0000 0.7877 [3 per cell]
Co1 0.0000 0.0000 0.1449 [3 per cell]
Co2 0.0000 0.0000 0.6445 [3 per cell]
P1 0.0381 0.6677 0.0595 [9 per cell]
P2 0.0400 0.3718 0.5600 [9 per cell]
O1 0.9999 0.8009 0.4552 [9 per cell]
O2 0.0106 0.1945 0.9546 [9 per cell]
O3 0.0120 0.8359 0.0672 [9 per cell]
O4 0.0203 0.1839 0.5723 [9 per cell]
O5 0.1417 0.6778 0.9981 [9 per cell]
O6 0.1438 0.4636 0.4986 [9 per cell]
O7 0.1653 0.6783 0.3838 [9 per cell]
O8 0.1662 0.4839 0.8846 [9 per cell]

Peak list (12 most intense, 2θ from 10° to 80°, by angle)
index, 2θ/deg, d (Å), I/Imax
1 1 0, 20.59, 4.313, 91
2 -1 3, 24.43, 3.644, 100
2 0 2, 25.39, 3.508, 18
3 -1 1, 32.00, 2.797, 16
1 1 6, 33.53, 2.673, 73
3 0 0, 36.07, 2.490, 41
3 0 6, 45.12, 2.010, 11
1 2 8, 48.04, 1.894, 31
2 2 6, 50.07, 1.822, 28
1 4 0, 56.45, 1.630, 24
3 1 8, 57.26, 1.609, 16
4 1 6, 63.25, 1.470, 22


# 2
Computed X-ray diffraction stick pattern of K2NiP4H8O16 for a wavelength of 1.5418 Å, from the GGA+U geometry in the Materials Project.
No peak broadening, texture or thermal motion is included.

Cell and atoms:
Cell: 6.9703 7.4377 7.6001 Å, 81.23 73.51 84.53°
Space group P-1 (No. 2)
One atom of each set of equivalent atoms:
K1 0.1154 0.2366 0.2975 [2 per cell]
Ni1 0.5000 0.0000 0.5000 [1 per cell]
P1 0.2532 0.3089 0.7571 [2 per cell]
P2 0.3251 0.7700 0.2433 [2 per cell]
H1 0.0527 0.7690 0.0764 [2 per cell]
H2 0.2502 0.5452 0.4733 [2 per cell]
H3 0.3739 0.8228 0.8520 [2 per cell]
H4 0.3855 0.6856 0.7081 [2 per cell]
O1 0.0748 0.2844 0.9378 [2 per cell]
O2 0.2349 0.5809 0.3384 [2 per cell]
O3 0.2399 0.8395 0.0813 [2 per cell]
O4 0.2578 0.5072 0.6661 [2 per cell]
O5 0.2617 0.1697 0.6290 [2 per cell]
O6 0.2989 0.8967 0.3880 [2 per cell]
O7 0.4380 0.2712 0.8514 [2 per cell]
O8 0.4488 0.7928 0.7267 [2 per cell]

Peak list (12 most intense, 2θ from 10° to 80°, by angle)
index, 2θ/deg, d (Å), I/Imax
0 0 1, 12.25, 7.224, 50
1 0 0, 13.27, 6.673, 33
1 1 0, 17.46, 5.078, 36
0 1 -1, 18.33, 4.841, 71
1 1 -1, 24.25, 3.670, 100
0 0 2, 24.65, 3.612, 30
0 2 1, 25.74, 3.461, 29
0 1 2, 26.02, 3.424, 36
1 2 1, 26.74, 3.333, 36
2 1 1, 27.55, 3.238, 45
2 -1 0, 30.02, 2.977, 44
-2 1 1, 34.72, 2.584, 38